Structure and theoretical X-ray powder pattern of BaTiMoO6 (the GGA+U geometry in Alexandria; CuKα).
Lines closer than 0.1° are merged.

Main lines, by angle (5° ≤ 2θ ≤ 70°):
d (Å)	two_theta	I_rel
3.808	23.36	100
3.019	29.59	14
2.815	31.79	68
2.692	33.28	20
1.946	46.69	52
1.904	47.77	17
1.577	58.53	15
1.361	69.02	15

Structural model:
a b c (Å): 5.3849 5.3849 9.9042
angles (deg): 90.00 90.00 90.00
Atoms (fractional coordinates):
Ba: 0.0000 0.0000 0.0000
Ba: 0.5000 0.5000 0.5000
Ti: 0.0000 0.0000 0.3350
Ti: 0.5000 0.5000 0.8350
Mo: 0.0000 0.0000 0.6421
Mo: 0.5000 0.5000 0.1421
O: 0.1597 0.1597 0.4930
O: 0.2007 0.7993 0.7314
O: 0.2022 0.7978 0.2455
O: 0.2978 0.2978 0.7455
O: 0.2993 0.2993 0.2314
O: 0.3403 0.6597 0.9930
O: 0.6597 0.3403 0.9930
O: 0.7007 0.7007 0.2314
O: 0.7022 0.7022 0.7455
O: 0.7978 0.2022 0.2455
O: 0.7993 0.2007 0.7314
O: 0.8403 0.8403 0.4930

Structure and theoretical X-ray powder pattern of Ba2Tl2Mo3O10 (the GGA+U geometry in Alexandria; CuKα).
Lines closer than 0.1° are merged.

Main lines, by angle (5° ≤ 2θ ≤ 70°):
d (Å)	two_theta	I_rel
17.631	5.01	100
3.297	27.04	69
3.158	28.26	45
3.066	29.13	47
2.955	30.24	69
2.803	31.93	74
2.793	32.05	51
2.519	35.65	52

Structural model:
a b c (Å): 3.9570 3.9831 17.6900
angles (deg): 90.03 94.66 90.02
Atoms (fractional coordinates):
Ba: 0.0000 0.0000 0.0000
Ba: 0.2571 0.5025 0.5722
Tl: 0.3945 0.4996 0.8502
Tl: 0.8875 0.9995 0.7193
Mo: 0.5070 0.5022 0.2916
Mo: 0.5468 0.5004 0.1365
Mo: 0.7076 0.0025 0.4320
O: 0.0473 0.5004 0.1132
O: 0.0525 0.5025 0.2827
O: 0.0699 0.9995 0.8506
O: 0.1854 0.0027 0.4377
O: 0.5029 0.4990 0.7347
O: 0.5043 0.4999 0.9708
O: 0.5510 0.0005 0.1318
O: 0.5794 0.0024 0.3134
O: 0.6739 0.5028 0.4132
O: 0.7051 0.0048 0.5443

Structure and theoretical X-ray powder pattern of Ba2YMoO6 (the GGA+U geometry in Alexandria; CuKα).
Lines closer than 0.1° are merged.

Main lines, by angle (5° ≤ 2θ ≤ 70°):
d (Å)	two_theta	I_rel
3.032	29.46	68
3.005	29.73	100
2.991	29.87	34
2.150	42.02	22
2.138	42.28	21
2.101	43.05	20
1.748	52.35	21
1.745	52.45	20

Structural model:
a b c (Å): 5.9826 6.0073 6.0125
angles (deg): 119.38 119.30 90.98
Atoms (fractional coordinates):
Ba: 0.2494 0.2484 0.4983
Ba: 0.7506 0.7516 0.5017
Y: 0.0000 0.5000 0.0000
Mo: 0.5000 0.0000 0.0000
O: 0.2380 0.2137 0.0007
O: 0.2662 0.7677 0.5235
O: 0.2899 0.7387 0.9906
O: 0.7101 0.2613 0.0094
O: 0.7338 0.2323 0.4765
O: 0.7620 0.7863 0.9993

Structure and theoretical X-ray powder pattern of BaYb2Mo4O16 (the GGA+U geometry in Alexandria; CuKα).
Lines closer than 0.1° are merged.

Main lines, by angle (5° ≤ 2θ ≤ 70°):
d (Å)	two_theta	I_rel
9.985	8.86	100
3.542	25.14	49
3.448	25.84	52
3.159	28.25	45
3.135	28.47	61
3.125	28.56	44
3.054	29.24	46
2.947	30.33	47

Structural model:
a b c (Å): 6.8884 6.8884 19.9788
angles (deg): 90.64 90.64 134.73
Atoms (fractional coordinates):
Ba: 0.0328 0.9672 0.7500
Ba: 0.9672 0.0328 0.2500
Yb: 0.1455 0.8493 0.5313
Yb: 0.1507 0.8545 0.9687
Yb: 0.8493 0.1455 0.0313
Yb: 0.8545 0.1507 0.4687
Mo: 0.2546 0.7395 0.1454
Mo: 0.2605 0.7454 0.3546
Mo: 0.4297 0.5483 0.9106
Mo: 0.4517 0.5703 0.5894
Mo: 0.5483 0.4297 0.4106
Mo: 0.5703 0.4517 0.0894
Mo: 0.7395 0.2546 0.6454
Mo: 0.7454 0.2605 0.8546
O: 0.0051 0.7349 0.1723
O: 0.0666 0.5907 0.4335
O: 0.0824 0.3861 0.1322
O: 0.1031 0.4905 0.2916
O: 0.1675 0.5083 0.9553
O: 0.2255 0.3238 0.3998
O: 0.2265 0.2598 0.5352
O: 0.2598 0.2265 0.0352
O: 0.2651 0.9949 0.3277
O: 0.2927 0.4596 0.6674
O: 0.3238 0.2255 0.8998
O: 0.3861 0.0824 0.6322
O: 0.4093 0.9334 0.0665
O: 0.4596 0.2927 0.1674
O: 0.4905 0.1031 0.7916
O: 0.4917 0.8325 0.5447
O: 0.5083 0.1675 0.4553
O: 0.5095 0.8969 0.2084
O: 0.5404 0.7073 0.8326
O: 0.5907 0.0666 0.9335
O: 0.6139 0.9176 0.3678
O: 0.6762 0.7745 0.1002
O: 0.7073 0.5404 0.3326
O: 0.7349 0.0051 0.6723
O: 0.7402 0.7735 0.9648
O: 0.7735 0.7402 0.4648
O: 0.7745 0.6762 0.6002
O: 0.8325 0.4917 0.0447
O: 0.8969 0.5095 0.7084
O: 0.9176 0.6139 0.8678
O: 0.9334 0.4093 0.5665
O: 0.9949 0.2651 0.8277

Structure and theoretical X-ray powder pattern of BaZrMoO6 (the GGA+U geometry in Alexandria; CuKα).
Lines closer than 0.1° are merged.

Main lines, by angle (5° ≤ 2θ ≤ 70°):
d (Å)	two_theta	I_rel
3.652	24.37	100
2.861	31.26	9
2.738	32.70	33
2.191	41.21	20
1.978	45.87	42
1.770	51.65	10
1.711	53.57	22
1.581	58.37	11

Structural model:
a b c (Å): 5.4766 5.4766 5.7227
angles (deg): 90.00 90.00 120.00
Atoms (fractional coordinates):
Ba: 0.0000 0.0000 0.0000
Zr: 0.3333 0.6667 0.5000
Mo: 0.6667 0.3333 0.5000
O: 0.3995 0.0217 0.6966
O: 0.3995 0.3778 0.3034
O: 0.6222 0.0217 0.3034
O: 0.6222 0.6005 0.6966
O: 0.9783 0.3778 0.6966
O: 0.9783 0.6005 0.3034